Simulated X-ray diffraction stick pattern
Compound: Pr3Pd3Rh
Radiation: Cu Kα X-rays
Structure: a crystal structure in Alexandria, relaxed with PBE

Structure:
abc: 4.019 4.438 18.738
angles: 90.00 90.00 90.00
Atoms (fractional coordinates):
Pr 0.000 0.000 0.000
Pr 0.000 0.000 0.367
Pr 0.000 0.500 0.189
Pr 0.500 0.000 0.689
Pr 0.500 0.500 0.500
Pr 0.500 0.500 0.867
Pd 0.000 0.000 0.532
Pd 0.000 0.000 0.837
Pd 0.000 0.500 0.617
Pd 0.500 0.000 0.117
Pd 0.500 0.500 0.032
Pd 0.500 0.500 0.337
Rh 0.000 0.500 0.755
Rh 0.500 0.000 0.255

Most intense lines, 15 to 90 degrees two-theta, low angle first:
- (1 1 2), 2θ = 31.51°, d = 2.839 Å, intensity 1000
- (1 0 5), 2θ = 32.67°, d = 2.741 Å, intensity 363
- (1 1 4), 2θ = 35.72°, d = 2.514 Å, intensity 220
- (0 1 7), 2θ = 39.31°, d = 2.292 Å, intensity 341
- (0 2 0), 2θ = 40.66°, d = 2.219 Å, intensity 307
- (1 1 6), 2θ = 41.91°, d = 2.156 Å, intensity 325
- (2 0 0), 2θ = 45.12°, d = 2.010 Å, intensity 232
- (1 2 5), 2θ = 53.10°, d = 1.725 Å, intensity 183
- (2 1 7), 2θ = 61.35°, d = 1.511 Å, intensity 181
- (2 2 0), 2θ = 62.33°, d = 1.490 Å, intensity 172